For Sm3ErSe6, DFT lattice parameters and positions (PBE) gives the simulated powder XRD pattern in this record (Cu Kα).
Kinematic intensities with the Lorentz-polarization factor, no thermal factor.

Top 12 peaks for 2θ from 10° to 90°, in order of falling intensity:
33.5°, 2.673 Å, I = 1000; 39.3°, 2.295 Å, I = 822; 23.2°, 3.832 Å, I = 773; 33.1°, 2.704 Å, I = 732; 18.4°, 4.816 Å, I = 497; 20.9°, 4.251 Å, I = 413; 25.6°, 3.482 Å, I = 407; 40.3°, 2.238 Å, I = 366; 39.7°, 2.269 Å, I = 211; 48.2°, 1.887 Å, I = 204; 43.7°, 2.071 Å, I = 204; 23.6°, 3.773 Å, I = 201

Crystal structure
Lattice parameters (Å, degrees): 12.1418 12.1418 14.4483 90.00 90.00 120.00
Space group R-3 (No. 148, hexagonal axes)
Symmetry-distinct sites (fractional):
Sm  0.0521  0.7804  0.2013
Er  0.0000  0.0000  0.0000
Er  0.0000  0.0000  0.5000
Se  0.0197  0.8110  0.3975
Se  0.0324  0.8389  0.8785

---

For Pa2H5, DFT lattice parameters and positions (PBE) gives the simulated powder XRD pattern in this record (Cu Kα).
Kinematic intensities with the Lorentz-polarization factor, no thermal factor.

Top 12 peaks for 2θ from 10° to 90°, in order of falling intensity:
30.7°, 2.908 Å, I = 1000; 31.3°, 2.855 Å, I = 471; 55.4°, 1.658 Å, I = 400; 54.3°, 1.690 Å, I = 215; 44.9°, 2.019 Å, I = 185; 64.0°, 1.454 Å, I = 129; 88.5°, 1.105 Å, I = 115; 43.2°, 2.096 Å, I = 102; 71.4°, 1.321 Å, I = 95; 74.0°, 1.281 Å, I = 86; 74.3°, 1.277 Å, I = 84; 81.6°, 1.180 Å, I = 67

Crystal structure
Lattice parameters (Å, degrees): 5.711 11.415 4.193 90.00 90.00 90.00
Space group Ibam (No. 72)
Symmetry-distinct sites (fractional):
Pa  0.246  0.124  0.000
H  0.000  0.252  0.250
H  0.000  0.500  0.250
H  0.137  0.069  0.500

---

For KOs2O7, DFT lattice parameters and positions (PBE) gives the simulated powder XRD pattern in this record (Cu Kα).
Kinematic intensities with the Lorentz-polarization factor, no thermal factor.

Top 12 peaks for 2θ from 10° to 90°, in order of falling intensity:
28.9°, 3.086 Å, I = 1000; 23.5°, 3.793 Å, I = 869; 29.8°, 2.997 Å, I = 860; 17.2°, 5.141 Å, I = 818; 29.3°, 3.052 Å, I = 578; 57.5°, 1.602 Å, I = 472; 52.8°, 1.735 Å, I = 390; 41.6°, 2.171 Å, I = 361; 38.3°, 2.351 Å, I = 341; 69.1°, 1.359 Å, I = 326; 16.7°, 5.294 Å, I = 294; 51.8°, 1.765 Å, I = 268

Crystal structure
Lattice parameters (Å, degrees): 6.176 10.282 3.793 90.00 90.00 90.00
Space group Cmmm (No. 65)
Symmetry-distinct sites (fractional):
K  0.000  0.000  0.000
Os  0.000  0.310  0.500
O  0.000  0.309  0.000
O  0.000  0.500  0.500
O  0.184  0.149  0.500

---

For ZrBe9Nb2, DFT lattice parameters and positions (PBE) gives the simulated powder XRD pattern in this record (Cu Kα).
Kinematic intensities with the Lorentz-polarization factor, no thermal factor.

Top 12 peaks for 2θ from 10° to 90°, in order of falling intensity:
22.6°, 3.926 Å, I = 1000; 36.9°, 2.436 Å, I = 625; 39.1°, 2.306 Å, I = 565; 46.8°, 1.939 Å, I = 449; 40.4°, 2.231 Å, I = 303; 24.8°, 3.586 Å, I = 273; 45.6°, 1.988 Å, I = 228; 69.4°, 1.355 Å, I = 188; 12.3°, 7.172 Å, I = 188; 78.5°, 1.218 Å, I = 159; 54.8°, 1.674 Å, I = 142; 65.0°, 1.434 Å, I = 136

Crystal structure
Lattice parameters (Å, degrees): 4.6111 4.6111 21.5150 90.00 90.00 120.00
Space group R-3m (No. 166, hexagonal axes)
Symmetry-distinct sites (fractional):
Zr  0.0000  0.0000  0.0000
Be  0.0000  0.0000  0.3350
Be  0.0000  0.0000  0.5000
Be  0.0061  0.5030  0.9173
Nb  0.0000  0.0000  0.1424

---

For RbAsHIr, DFT lattice parameters and positions (PBE) gives the simulated powder XRD pattern in this record (Cu Kα).
Kinematic intensities with the Lorentz-polarization factor, no thermal factor.

Top 12 peaks for 2θ from 10° to 90°, in order of falling intensity:
33.9°, 2.648 Å, I = 1000; 12.9°, 6.878 Å, I = 707; 39.3°, 2.293 Å, I = 554; 54.6°, 1.681 Å, I = 381; 25.9°, 3.439 Å, I = 369; 67.8°, 1.383 Å, I = 293; 47.7°, 1.908 Å, I = 284; 82.7°, 1.167 Å, I = 276; 28.3°, 3.156 Å, I = 251; 56.8°, 1.621 Å, I = 223; 43.1°, 2.098 Å, I = 203; 41.5°, 2.175 Å, I = 168

Crystal structure
Lattice parameters (Å, degrees): 3.243 3.243 13.757 90.00 90.00 90.00
Space group I4mm (No. 107)
Symmetry-distinct sites (fractional):
Rb  0.000  0.000  0.000
As  0.000  0.000  0.702
H  0.000  0.000  0.408
Ir  0.000  0.000  0.286

---

For Li2Ca2MgZn5, DFT lattice parameters and positions (PBE) gives the simulated powder XRD pattern in this record (Cu Kα).
Kinematic intensities with the Lorentz-polarization factor, no thermal factor.

Top 12 peaks for 2θ from 10° to 90°, in order of falling intensity:
36.7°, 2.449 Å, I = 1000; 36.3°, 2.477 Å, I = 683; 23.7°, 3.758 Å, I = 453; 30.8°, 2.902 Å, I = 405; 34.4°, 2.604 Å, I = 403; 39.9°, 2.262 Å, I = 353; 37.4°, 2.407 Å, I = 321; 48.4°, 1.879 Å, I = 263; 62.0°, 1.497 Å, I = 259; 42.8°, 2.112 Å, I = 179; 69.8°, 1.348 Å, I = 175; 27.6°, 3.229 Å, I = 174

Crystal structure
Lattice parameters (Å, degrees): 10.212 10.212 3.758 90.00 90.00 90.00
Space group P4/mbm (No. 127)
Symmetry-distinct sites (fractional):
Li  0.118  0.382  0.000
Ca  0.181  0.681  0.000
Mg  0.000  0.000  0.000
Zn  0.000  0.500  0.500
Zn  0.052  0.203  0.500

---

For BeZnNi4, DFT lattice parameters and positions (PBE) gives the simulated powder XRD pattern in this record (Cu Kα).
Kinematic intensities with the Lorentz-polarization factor, no thermal factor.

Top 12 peaks for 2θ from 10° to 90°, in order of falling intensity:
45.2°, 2.006 Å, I = 1000; 50.4°, 1.809 Å, I = 416; 39.8°, 2.263 Å, I = 264; 71.3°, 1.323 Å, I = 123; 74.1°, 1.279 Å, I = 121; 46.9°, 1.938 Å, I = 119; 89.5°, 1.095 Å, I = 112; 79.6°, 1.205 Å, I = 101; 57.0°, 1.615 Å, I = 72; 36.3°, 2.474 Å, I = 67; 87.6°, 1.114 Å, I = 47; 35.1°, 2.559 Å, I = 46

Crystal structure
Lattice parameters (Å, degrees): 2.559 2.559 9.691 90.00 90.00 90.00
Space group P4/mmm (No. 123)
Symmetry-distinct sites (fractional):
Be  0.000  0.000  0.000
Zn  0.500  0.500  0.500
Ni  0.000  0.000  0.315
Ni  0.500  0.500  0.138

---

Question: Which formula does entry 7 have?
Answer: BeZnNi4